1.
Simulated powder XRD pattern
Compound: Cs2TaS6
Radiation: λ = 1.5418 Å (Cu Kα)
Structure: a PBE-relaxed structure

The 10 most intense peaks (10° ≤ 2θ ≤ 90°), sorted by position:
6.963 Å, rel. 39; 4.020 Å, rel. 100; 3.967 Å, rel. 68; 3.089 Å, rel. 38; 2.824 Å, rel. 93; 2.311 Å, rel. 29; 2.010 Å, rel. 33; 1.984 Å, rel. 27; 1.793 Å, rel. 22; 1.779 Å, rel. 35

Unit cell a=8.040 b=8.040 c=4.827 alpha=90.00 beta=90.00 gamma=120.00
Fractional positions:
Cs 0.333 0.667 0.225
Cs 0.667 0.333 0.775
Ta 0.000 0.000 0.000
S 0.140 0.279 0.704
S 0.140 0.860 0.704
S 0.279 0.140 0.296
S 0.721 0.860 0.704
S 0.860 0.140 0.296
S 0.860 0.721 0.296

2.
Simulated powder XRD pattern
Compound: CsTbS2
Radiation: λ = 1.5418 Å (Cu Kα)
Structure: a PBE-relaxed structure

The 10 most intense peaks (10° ≤ 2θ ≤ 90°), sorted by position:
4.032 Å, rel. 32; 3.427 Å, rel. 54; 3.077 Å, rel. 100; 2.309 Å, rel. 37; 2.063 Å, rel. 33; 2.004 Å, rel. 19; 1.837 Å, rel. 23; 1.714 Å, rel. 17; 1.442 Å, rel. 13; 1.318 Å, rel. 15

Unit cell a=4.127 b=4.127 c=24.195 alpha=90.00 beta=90.00 gamma=120.00
Fractional positions:
Cs 0.000 0.000 0.000
Cs 0.333 0.667 0.667
Cs 0.667 0.333 0.333
Tb 0.000 0.000 0.500
Tb 0.333 0.667 0.167
Tb 0.667 0.333 0.833
S 0.000 0.000 0.227
S 0.000 0.000 0.773
S 0.333 0.667 0.439
S 0.333 0.667 0.894
S 0.667 0.333 0.106
S 0.667 0.333 0.561

3.
Simulated powder XRD pattern
Compound: CsTbS2
Radiation: λ = 1.5418 Å (Cu Kα)
Structure: a PBE-relaxed structure

The 10 most intense peaks (10° ≤ 2θ ≤ 90°), sorted by position:
4.021 Å, rel. 37; 3.483 Å, rel. 17; 3.261 Å, rel. 100; 2.970 Å, rel. 53; 2.669 Å, rel. 18; 2.143 Å, rel. 46; 2.060 Å, rel. 39; 1.833 Å, rel. 27; 1.741 Å, rel. 17; 1.439 Å, rel. 16

Unit cell a=4.120 b=4.120 c=16.085 alpha=90.00 beta=90.00 gamma=120.00
Fractional positions:
Cs 0.333 0.667 0.250
Cs 0.667 0.333 0.750
Tb 0.000 0.000 0.000
Tb 0.000 0.000 0.500
S 0.333 0.667 0.592
S 0.333 0.667 0.908
S 0.667 0.333 0.092
S 0.667 0.333 0.408

4.
Simulated powder XRD pattern
Compound: Cs4Tc6S13
Radiation: λ = 1.5418 Å (Cu Kα)
Structure: a PBE-relaxed structure

The 10 most intense peaks (10° ≤ 2θ ≤ 90°), sorted by position:
8.667 Å, rel. 66; 7.923 Å, rel. 92; 6.859 Å, rel. 100; 5.374 Å, rel. 58; 5.016 Å, rel. 53; 3.430 Å, rel. 32; 3.106 Å, rel. 39; 2.893 Å, rel. 41; 2.829 Å, rel. 41; 2.408 Å, rel. 47

Unit cell a=10.058 b=10.058 c=13.934 alpha=95.30 beta=95.30 gamma=119.01
Fractional positions:
Cs 0.160 0.413 0.589
Cs 0.184 0.227 0.289
Cs 0.227 0.184 0.789
Cs 0.413 0.160 0.089
Cs 0.587 0.840 0.911
Cs 0.773 0.816 0.211
Cs 0.816 0.773 0.711
Cs 0.840 0.587 0.411
Tc 0.065 0.653 0.109
Tc 0.082 0.649 0.921
Tc 0.188 0.504 0.021
Tc 0.347 0.935 0.391
Tc 0.351 0.918 0.579
Tc 0.496 0.812 0.479
Tc 0.504 0.188 0.521
Tc 0.649 0.082 0.421
Tc 0.653 0.065 0.609
Tc 0.812 0.496 0.979
Tc 0.918 0.351 0.079
Tc 0.935 0.347 0.891
S 0.038 0.225 0.995
S 0.141 0.859 0.250
S 0.145 0.780 0.675
S 0.156 0.508 0.190
S 0.188 0.503 0.849
S 0.220 0.855 0.825
S 0.221 0.696 0.452
S 0.225 0.038 0.495
S 0.304 0.779 0.048
S 0.452 0.521 0.061
S 0.479 0.548 0.439
S 0.492 0.844 0.310
S 0.497 0.812 0.651
S 0.503 0.188 0.349
S 0.508 0.156 0.690
S 0.521 0.452 0.561
S 0.548 0.479 0.939
S 0.696 0.221 0.952
S 0.775 0.962 0.505
S 0.779 0.304 0.548
S 0.780 0.145 0.175
S 0.812 0.497 0.151
S 0.844 0.492 0.810
S 0.855 0.220 0.325
S 0.859 0.141 0.750
S 0.962 0.775 0.005